The following is a theoretical XRD peak list of HoTiTcGe2. It was derived from a crystal structure in Alexandria, relaxed with PBE, using λ = 1.5418 Å (Cu Kα).
Kinematic intensities with the Lorentz-polarization factor, no thermal factor.

Structural model:
Lattice parameters (Å, degrees): 3.962 3.962 11.576 90.00 90.00 90.00
Space group I-4m2 (No. 119)
One atom of each set of equivalent atoms:
Ho: 0.000 0.000 0.000 x2
Ti: 0.000 0.500 0.750 x2
Tc: 0.000 0.500 0.250 x2
Ge: 0.000 0.000 0.392 x4

Principal peaks in the range 2θ = 5–70°, low angle first:
h k l  d [Å]  2theta  Rel. int.
1 0 1  3.748  23.74  114
1 1 0  2.801  31.95  154
1 0 3  2.764  32.39  609
1 1 2  2.522  35.60  1000
1 0 5  1.999  45.37  423
2 0 0  1.981  45.81  441
2 1 3  1.610  57.21  241
1 1 6  1.589  58.05  97
2 1 5  1.407  66.45  268
2 2 0  1.401  66.79  139